[1]
Starting from a structure optimized by DFT (PBE), the XRD peak list of SrCd was computed for Cu Kα X-rays.
Intensities are scaled so that the largest is 100.

Crystal structure
a b c (Å): 4.082 4.082 4.082
angles (deg): 90.00 90.00 90.00
Space group Pm-3m (No. 221)
Symmetry-distinct sites (fractional):
Sr  0.000  0.000  0.000 [1 per cell]
Cd  0.500  0.500  0.500 [1 per cell]

Most intense lines, 15 to 90 degrees two-theta, by angle:
| index | 2theta | I_rel |
| --- | --- | --- |
| 1 0 0 | 21.77 | 2 |
| 1 1 0 | 30.99 | 100 |
| 2 0 0 | 44.39 | 18 |
| 2 1 1 | 55.12 | 38 |
| 2 2 0 | 64.58 | 12 |
| 3 1 0 | 73.35 | 16 |
| 2 2 2 | 81.73 | 4 |
| 3 2 1 | 89.94 | 19 |

---

[2]
Starting from a structure optimized by DFT (PBE), the XRD peak list of Sr2TlCd was computed for Cu Kα X-rays.
Intensities are scaled so that the largest is 100.

Crystal structure
a b c (Å): 8.173 8.173 8.173
angles (deg): 90.00 90.00 90.00
Space group Fm-3m (No. 225)
Symmetry-distinct sites (fractional):
Sr  0.250  0.250  0.250 [8 per cell]
Tl  0.000  0.000  0.000 [4 per cell]
Cd  0.000  0.000  0.500 [4 per cell]

Most intense lines, 15 to 90 degrees two-theta, by angle:
| index | 2theta | I_rel |
| --- | --- | --- |
| 1 1 1 | 18.81 | 6 |
| 2 0 0 | 21.75 | 9 |
| 2 2 0 | 30.95 | 100 |
| 4 0 0 | 44.33 | 19 |
| 4 2 2 | 55.04 | 39 |
| 4 4 0 | 64.49 | 12 |
| 6 2 0 | 73.25 | 17 |
| 6 4 2 | 89.80 | 21 |